Diffraction record for Y2Er5Cd. The XRD peak list is computed, not measured: it uses DFT lattice parameters and positions (GGA-PBE) and Cu Ka.
Neutral-atom scattering factors, no anomalous dispersion.

Crystal structure
```
8
Lattice="-3.467 3.467 4.944 3.467 -3.467 4.944 3.467 3.467 -4.944" Properties=species:S:1:pos:R:3 pbc="T T T"
Y 3.467 0.000 0.000
Y 0.000 3.467 0.000
Er 0.000 0.000 0.000
Er 1.733 1.733 -2.472
Er 1.733 -1.733 2.472
Er -1.733 1.733 2.472
Er 1.733 1.733 2.472
Cd 0.000 0.000 4.944
```

Principal peaks in the range 2θ from 5° to 70°, low angle first:
| 2theta | I/Imax |
| --- | --- |
| 17.9 | 3 |
| 25.7 | 3 |
| 31.5 | 100 |
| 36.3 | 17 |
| 36.7 | 33 |
| 52.6 | 24 |
| 52.8 | 12 |
| 62.4 | 14 |
| 62.8 | 28 |
| 65.8 | 12 |

Diffraction record for CaAcGa2Au5. The XRD peak list is computed, not measured: it uses DFT lattice parameters and positions (GGA-PBE) and Cu Ka.
Neutral-atom scattering factors, no anomalous dispersion.

Crystal structure
```
9
Lattice="4.878 0.000 0.000 0.000 4.878 0.000 0.000 0.000 8.598" Properties=species:S:1:pos:R:3 pbc="T T T"
Ca 0.000 0.000 0.000
Ac 0.000 0.000 4.299
Ga 2.439 2.439 1.298
Ga 2.439 2.439 7.300
Au 0.000 2.439 2.156
Au 0.000 2.439 6.442
Au 2.439 0.000 2.156
Au 2.439 0.000 6.442
Au 2.439 2.439 4.299
```

Principal peaks in the range 2θ from 5° to 70°, low angle first:
| 2theta | I/Imax |
| --- | --- |
| 10.3 | 21 |
| 27.9 | 9 |
| 33.3 | 100 |
| 36.9 | 52 |
| 40.9 | 11 |
| 42.0 | 12 |
| 53.1 | 18 |
| 57.1 | 19 |
| 64.1 | 31 |
| 69.9 | 11 |